# 1
Starting from a crystal structure in OQMD, relaxed with GGA-PBE, the powder diffractogram of HoTmTlC was calculated for Cu Kα X-rays.

The 6 most intense peaks (10° ≤ 2θ ≤ 90°), sorted by position:
28.8 deg, rel. 18
33.4 deg, rel. 100
44.6 deg, rel. 13
51.0 deg, rel. 17
59.6 deg, rel. 18
62.3 deg, rel. 32

Crystal structure
a b c (Å): 3.581 3.581 16.125
angles (deg): 90.00 90.00 120.00
Fractional positions:
Ho  0.000  0.000  0.168
Ho  0.000  0.000  0.832
Tm  0.667  0.333  0.333
Tm  0.667  0.333  0.667
Tl  0.000  0.000  0.500
Tl  0.667  0.333  0.000
C  0.333  0.667  0.251
C  0.333  0.667  0.749

---

# 2
Starting from a crystal structure in OQMD, relaxed with GGA-PBE, the powder diffractogram of DyTm2Lu4Te2Pd2 was calculated for Cu Kα X-rays.

The 6 most intense peaks (10° ≤ 2θ ≤ 90°), sorted by position:
28.7 deg, rel. 32
30.2 deg, rel. 49
33.2 deg, rel. 63
34.0 deg, rel. 100
34.5 deg, rel. 51
46.6 deg, rel. 29

Crystal structure
a b c (Å): 9.275 9.275 9.275
angles (deg): 155.73 67.26 118.35
Fractional positions:
Dy  0.000  0.000  0.000
Tm  0.452  0.583  0.869
Tm  0.713  0.583  0.131
Lu  0.057  0.373  0.683
Lu  0.089  0.734  0.356
Lu  0.378  0.734  0.644
Lu  0.690  0.373  0.317
Te  0.338  0.338  0.000
Te  0.734  0.234  0.500
Pd  0.305  0.069  0.236
Pd  0.833  0.069  0.764

---

# 3
Starting from a crystal structure in OQMD, relaxed with GGA-PBE, the powder diffractogram of Ac3Os2N8 was calculated for Cu Kα X-rays.

The 6 most intense peaks (10° ≤ 2θ ≤ 90°), sorted by position:
27.6 deg, rel. 100
31.1 deg, rel. 82
42.0 deg, rel. 38
46.5 deg, rel. 26
53.2 deg, rel. 35
66.3 deg, rel. 18

Crystal structure
a b c (Å): 7.823 7.823 7.823
angles (deg): 43.19 43.19 43.19
Fractional positions:
Ac  0.000  0.000  0.000
Ac  0.205  0.205  0.205
Ac  0.795  0.795  0.795
Os  0.406  0.406  0.406
Os  0.594  0.594  0.594
N  0.224  0.734  0.734
N  0.266  0.266  0.776
N  0.266  0.776  0.266
N  0.321  0.321  0.321
N  0.679  0.679  0.679
N  0.734  0.224  0.734
N  0.734  0.734  0.224
N  0.776  0.266  0.266

---

# 4
Starting from a crystal structure in OQMD, relaxed with GGA-PBE, the powder diffractogram of K3AuSe13 was calculated for Cu Kα X-rays.

The 6 most intense peaks (10° ≤ 2θ ≤ 90°), sorted by position:
19.3 deg, rel. 32
25.2 deg, rel. 30
27.3 deg, rel. 100
32.5 deg, rel. 66
42.5 deg, rel. 35
43.2 deg, rel. 28

Crystal structure
a b c (Å): 15.298 5.087 13.835
angles (deg): 90.00 94.46 90.00
Fractional positions:
K  0.000  0.162  0.250
K  0.000  0.838  0.750
K  0.277  0.199  0.163
K  0.277  0.801  0.663
K  0.723  0.199  0.337
K  0.723  0.801  0.837
Au  0.500  0.000  0.000
Au  0.500  0.000  0.500
Se  0.072  0.320  0.580
Se  0.072  0.680  0.080
Se  0.149  0.077  0.465
Se  0.149  0.923  0.965
Se  0.151  0.310  0.734
Se  0.151  0.690  0.234
Se  0.268  0.357  0.423
Se  0.268  0.643  0.923
Se  0.380  0.300  0.551
Se  0.380  0.700  0.051
Se  0.412  0.098  0.842
Se  0.412  0.902  0.342
Se  0.500  0.374  0.750
Se  0.500  0.626  0.250
Se  0.588  0.098  0.658
Se  0.588  0.902  0.158
Se  0.620  0.300  0.949
Se  0.620  0.700  0.449
Se  0.732  0.357  0.077
Se  0.732  0.643  0.577
Se  0.849  0.310  0.766
Se  0.849  0.690  0.266
Se  0.851  0.077  0.035
Se  0.851  0.923  0.535
Se  0.928  0.320  0.920
Se  0.928  0.680  0.420

---

# 5
Starting from a crystal structure in OQMD, relaxed with GGA-PBE, the powder diffractogram of Sm4C2Br4F was calculated for Cu Kα X-rays.

The 6 most intense peaks (10° ≤ 2θ ≤ 90°), sorted by position:
11.9 deg, rel. 42
28.8 deg, rel. 79
33.5 deg, rel. 100
44.4 deg, rel. 36
45.2 deg, rel. 44
57.6 deg, rel. 22

Crystal structure
a b c (Å): 9.732 9.732 7.638
angles (deg): 102.74 102.74 22.15
Fractional positions:
Sm  0.000  0.000  0.223
Sm  0.000  0.000  0.777
Sm  0.343  0.343  0.901
Sm  0.657  0.657  0.099
C  0.462  0.462  0.978
C  0.538  0.538  0.022
Br  0.159  0.159  0.385
Br  0.169  0.169  0.815
Br  0.831  0.831  0.185
Br  0.841  0.841  0.615
F  0.500  0.500  0.500

---

# 6
Starting from a crystal structure in OQMD, relaxed with GGA-PBE, the powder diffractogram of CsGdTeS was calculated for Cu Kα X-rays.

The 6 most intense peaks (10° ≤ 2θ ≤ 90°), sorted by position:
25.9 deg, rel. 100
28.5 deg, rel. 86
31.8 deg, rel. 33
39.8 deg, rel. 43
41.7 deg, rel. 55
49.7 deg, rel. 17

Crystal structure
a b c (Å): 4.336 4.336 17.057
angles (deg): 90.00 90.00 120.00
Fractional positions:
Cs  0.333  0.667  0.271
Cs  0.667  0.333  0.729
Gd  0.000  0.000  0.000
Gd  0.000  0.000  0.500
Te  0.333  0.667  0.894
Te  0.667  0.333  0.106
S  0.333  0.667  0.582
S  0.667  0.333  0.418

---

# 7
Starting from a crystal structure in OQMD, relaxed with GGA-PBE, the powder diffractogram of Si16Ge12P3Au was calculated for Cu Kα X-rays.

The 6 most intense peaks (10° ≤ 2θ ≤ 90°), sorted by position:
27.8 deg, rel. 100
46.2 deg, rel. 58
46.2 deg, rel. 12
54.7 deg, rel. 28
54.8 deg, rel. 14
74.4 deg, rel. 12

Crystal structure
a b c (Å): 6.800 10.398 10.403
angles (deg): 81.76 83.81 71.04
Fractional positions:
Si  0.000  0.000  0.000
Si  0.000  0.490  0.500
Si  0.005  0.618  0.115
Si  0.007  0.869  0.376
Si  0.128  0.880  0.580
Si  0.135  0.261  0.454
Si  0.139  0.766  0.956
Si  0.145  0.379  0.076
Si  0.504  0.183  0.441
Si  0.506  0.555  0.298
Si  0.509  0.304  0.070
Si  0.517  0.925  0.185
Si  0.618  0.320  0.270
Si  0.619  0.202  0.640
Si  0.627  0.076  0.026
Si  0.631  0.698  0.133
Ge  0.009  0.737  0.758
Ge  0.129  0.632  0.326
Ge  0.138  0.009  0.203
Ge  0.143  0.495  0.702
Ge  0.504  0.801  0.563
Ge  0.505  0.063  0.819
Ge  0.522  0.430  0.694
Ge  0.620  0.823  0.775
Ge  0.626  0.566  0.503
Ge  0.631  0.950  0.390
Ge  0.995  0.251  0.251
Ge  0.998  0.120  0.627
P  0.013  0.364  0.882
P  0.127  0.141  0.836
P  0.499  0.684  0.944
Au  0.640  0.447  0.908

---

# 8
Starting from a crystal structure in OQMD, relaxed with GGA-PBE, the powder diffractogram of Pr2Ho2CI2Br3 was calculated for Cu Kα X-rays.

The 6 most intense peaks (10° ≤ 2θ ≤ 90°), sorted by position:
28.1 deg, rel. 26
29.8 deg, rel. 54
30.5 deg, rel. 34
31.3 deg, rel. 100
43.5 deg, rel. 30
44.0 deg, rel. 31

Crystal structure
a b c (Å): 9.418 9.418 8.371
angles (deg): 102.05 102.05 23.98
Fractional positions:
Pr  0.141  0.141  0.067
Pr  0.859  0.859  0.933
Ho  0.498  0.498  0.196
Ho  0.502  0.502  0.804
C  0.000  0.000  0.000
I  0.337  0.337  0.635
I  0.663  0.663  0.365
Br  0.000  0.000  0.500
Br  0.337  0.337  0.191
Br  0.663  0.663  0.809

---

# 9
Starting from a crystal structure in OQMD, relaxed with GGA-PBE, the powder diffractogram of GdBAsO was calculated for Cu Kα X-rays.

The 6 most intense peaks (10° ≤ 2θ ≤ 90°), sorted by position:
25.0 deg, rel. 100
26.5 deg, rel. 82
30.1 deg, rel. 99
36.7 deg, rel. 83
39.5 deg, rel. 62
48.2 deg, rel. 75

Crystal structure
a b c (Å): 3.559 6.736 5.936
angles (deg): 90.00 90.00 90.00
Fractional positions:
Gd  0.000  0.212  0.000
Gd  0.000  0.788  0.500
B  0.500  0.384  0.493
B  0.500  0.616  0.993
As  0.000  0.217  0.499
As  0.000  0.783  0.999
O  0.500  0.414  0.993
O  0.500  0.586  0.493

---

# 10
Starting from a crystal structure in OQMD, relaxed with GGA-PBE, the powder diffractogram of Rb2NaZn2H5C4O14 was calculated for Cu Kα X-rays.

The 6 most intense peaks (10° ≤ 2θ ≤ 90°), sorted by position:
18.9 deg, rel. 73
29.7 deg, rel. 77
30.0 deg, rel. 100
31.2 deg, rel. 38
32.2 deg, rel. 57
34.6 deg, rel. 53

Crystal structure
a b c (Å): 5.184 11.060 11.638
angles (deg): 90.00 114.39 90.00
Fractional positions:
Rb  0.039  0.165  0.074
Rb  0.039  0.335  0.574
Rb  0.961  0.665  0.426
Rb  0.961  0.835  0.926
Na  0.000  0.000  0.500
Na  0.000  0.500  0.000
Zn  0.332  0.608  0.795
Zn  0.332  0.892  0.295
Zn  0.668  0.108  0.705
Zn  0.668  0.392  0.205
H  0.055  0.694  0.180
H  0.055  0.806  0.680
H  0.380  0.664  0.225
H  0.380  0.836  0.725
H  0.500  0.000  0.000
H  0.500  0.500  0.500
H  0.620  0.164  0.275
H  0.620  0.336  0.775
H  0.945  0.194  0.320
H  0.945  0.306  0.820
C  0.286  0.073  0.818
C  0.286  0.427  0.318
C  0.427  0.126  0.433
C  0.427  0.374  0.933
C  0.573  0.626  0.067
C  0.573  0.874  0.567
C  0.714  0.573  0.682
C  0.714  0.927  0.182
O  0.056  0.063  0.835
O  0.056  0.437  0.335
O  0.205  0.165  0.444
O  0.205  0.335  0.944
O  0.248  0.710  0.253
O  0.248  0.790  0.753
O  0.286  0.111  0.713
O  0.286  0.389  0.213
O  0.332  0.618  0.968
O  0.332  0.882  0.468
O  0.418  0.092  0.325
O  0.418  0.408  0.825
O  0.473  0.542  0.590
O  0.473  0.958  0.090
O  0.527  0.042  0.910
O  0.527  0.458  0.410
O  0.582  0.592  0.175
O  0.582  0.908  0.675
O  0.668  0.118  0.532
O  0.668  0.382  0.032
O  0.714  0.611  0.787
O  0.714  0.889  0.287
O  0.752  0.210  0.247
O  0.752  0.290  0.747
O  0.795  0.665  0.056
O  0.795  0.835  0.556
O  0.944  0.563  0.665
O  0.944  0.937  0.165

---

# 11
Starting from a crystal structure in OQMD, relaxed with GGA-PBE, the powder diffractogram of AcTbNO was calculated for Cu Kα X-rays.

The 6 most intense peaks (10° ≤ 2θ ≤ 90°), sorted by position:
23.9 deg, rel. 26
25.0 deg, rel. 25
29.7 deg, rel. 100
30.6 deg, rel. 31
35.0 deg, rel. 28
43.5 deg, rel. 37

Crystal structure
a b c (Å): 7.110 8.723 5.126
angles (deg): 90.00 90.00 90.00
Fractional positions:
Ac  0.056  0.133  0.000
Ac  0.444  0.133  0.500
Ac  0.556  0.867  0.000
Ac  0.944  0.867  0.500
Tb  0.089  0.613  0.000
Tb  0.411  0.613  0.500
Tb  0.589  0.387  0.000
Tb  0.911  0.387  0.500
N  0.084  0.608  0.501
N  0.416  0.608  0.001
N  0.584  0.392  0.501
N  0.916  0.392  0.001
O  0.092  0.166  0.499
O  0.408  0.166  0.999
O  0.592  0.834  0.499
O  0.908  0.834  0.999